1.
Simulated powder XRD pattern
Compound: CaAcSb2Rh5
Radiation: Cu Ka
Structure: a DFT-relaxed cell (PBE, Alexandria)

The 10 most intense peaks (2θ = 10–90°), in order of rising 2θ:
- (1 0 1), 21.8 deg, 4.076 Å, I 24
- (1 0 2), 28.3 deg, 3.159 Å, I 38
- (1 1 1), 29.2 deg, 3.057 Å, I 40
- (1 1 2), 34.4 deg, 2.608 Å, I 86
- (1 0 3), 36.7 deg, 2.447 Å, I 61
- (2 0 0), 39.0 deg, 2.310 Å, I 100
- (1 1 3), 41.8 deg, 2.163 Å, I 46
- (2 1 3), 54.6 deg, 1.680 Å, I 39
- (2 2 0), 56.3 deg, 1.634 Å, I 34
- (3 1 2), 67.7 deg, 1.384 Å, I 25

Crystal structure
```
data_CaAcSb2Rh5
_symmetry_space_group_name_H-M 'P 4/m m m'
_symmetry_Int_Tables_number 123
_symmetry_space_group_name_Hall '-P 4 2'
_cell_length_a 4.621
_cell_length_b 4.621
_cell_length_c 8.656
_cell_angle_alpha 90.00
_cell_angle_beta 90.00
_cell_angle_gamma 90.00
loop_
_atom_site_label
_atom_site_type_symbol
_atom_site_fract_x
_atom_site_fract_y
_atom_site_fract_z
Ca1 Ca 0.000 0.000 0.000
Ac1 Ac 0.000 0.000 0.500
Sb1 Sb 0.500 0.500 0.326
Rh1 Rh 0.000 0.500 0.200
Rh2 Rh 0.500 0.500 0.000
```

2.
Simulated powder XRD pattern
Compound: CaAc2Sn4Rh3
Radiation: Cu Ka
Structure: a DFT-relaxed cell (PBE, Alexandria)

The 10 most intense peaks (2θ = 10–90°), in order of rising 2θ:
- (1 1 0), 27.5 deg, 3.249 Å, I 22
- (1 0 3), 29.7 deg, 3.004 Å, I 53
- (1 1 2), 31.4 deg, 2.852 Å, I 100
- (2 0 0), 39.2 deg, 2.297 Å, I 56
- (1 0 5), 42.8 deg, 2.115 Å, I 27
- (2 1 3), 50.0 deg, 1.824 Å, I 32
- (1 1 6), 54.2 deg, 1.693 Å, I 17
- (2 2 0), 56.7 deg, 1.625 Å, I 19
- (2 1 5), 59.4 deg, 1.556 Å, I 21
- (3 1 2), 66.2 deg, 1.412 Å, I 24

Crystal structure
```
data_CaAc2Sn4Rh3
_symmetry_space_group_name_H-M 'P -4 m 2'
_symmetry_Int_Tables_number 115
_cell_length_a 4.595
_cell_length_b 4.595
_cell_length_c 11.912
_cell_angle_alpha 90.00
_cell_angle_beta 90.00
_cell_angle_gamma 90.00
loop_
_symmetry_equiv_pos_as_xyz
'x,y,z'
'y,-x,-z'
'-x,-y,z'
'-y,x,-z'
'-x,y,z'
'-y,-x,-z'
'x,-y,z'
'y,x,-z'
loop_
_atom_site_label
_atom_site_type_symbol
_atom_site_fract_x
_atom_site_fract_y
_atom_site_fract_z
Ca1 Ca 0.000 0.000 0.000
Ac1 Ac 0.000 0.500 0.730
Sn1 Sn 0.000 0.000 0.500
Sn2 Sn 0.000 0.500 0.159
Sn3 Sn 0.500 0.500 0.500
Rh1 Rh 0.000 0.500 0.381
Rh2 Rh 0.500 0.500 0.000
```